This entry pairs a crystal structure of PBr with its calculated X-ray powder pattern. Radiation: a wavelength of 1.5418 Å. Structure: a GGA-PBE-relaxed structure.

Largest 10 diffraction maxima, in order of falling intensity, 2θ = 10–90°:
2θ (°), I (rel.)
26.93, 100
35.50, 93
25.20, 74
53.03, 52
37.02, 34
50.43, 31
32.81, 28
21.71, 22
58.09, 22
38.86, 21

Structural model:
a = 3.6190 Å, b = 16.3779 Å, c = 3.6198 Å
α = 90.00°, β = 90.00°, γ = 90.00°
Atoms (fractional coordinates):
P (0.0000, 0.2439, 0.2500)
P (0.0000, 0.7561, 0.7500)
P (0.5000, 0.2561, 0.7500)
P (0.5000, 0.7439, 0.2500)
Br (0.0000, 0.1073, 0.2500)
Br (0.0000, 0.8927, 0.7500)
Br (0.5000, 0.3927, 0.7500)
Br (0.5000, 0.6073, 0.2500)